Structure and theoretical X-ray diffraction stick pattern of Li3V2F12 (a structure optimized by DFT (GGA+U); Cu Ka).
No peak broadening, texture or thermal motion is included.

Most intense lines, 2θ = 5–70°, in order of rising 2θ:
(1 1 -1), 2θ 19.30, intensity 66; (0 0 2), 2θ 19.88, intensity 41; (0 2 1), 2θ 20.10, intensity 100; (1 0 -2), 2θ 21.52, intensity 13; (1 1 -2), 2θ 23.25, intensity 16; (1 1 1), 2θ 25.25, intensity 16; (1 3 -1), 2θ 31.59, intensity 22; (1 1 2), 2θ 32.85, intensity 17; (1 4 -2), 2θ 41.74, intensity 23; (2 3 -3), 2θ 46.95, intensity 21; (2 0 2), 2θ 48.40, intensity 12; (1 5 -2), 2θ 49.99, intensity 13

Structural model:
Cell lengths 5.2600, 10.1701, 9.5827 Å; angles 90.00, 111.25, 90.00 degrees
Space group P2_1/c (No. 14)
One atom of each set of equivalent atoms:
Li 0.0000 0.0000 0.0000 (multiplicity 2)
Li 0.2681 0.1750 0.3292 (multiplicity 4)
V 0.2302 0.6459 0.7906 (multiplicity 4)
F 0.0349 0.5500 0.8712 (multiplicity 4)
F 0.0744 0.1559 0.8922 (multiplicity 4)
F 0.1041 0.6976 0.3386 (multiplicity 4)
F 0.3026 0.0140 0.2087 (multiplicity 4)
F 0.4373 0.7300 0.7002 (multiplicity 4)
F 0.4683 0.1372 0.5374 (multiplicity 4)